Record 1
This entry pairs a crystal structure of CaAc2PmNd with its simulated powder diffractogram. Radiation: Cu Kα. Structure: a crystal structure in Alexandria, relaxed with PBE.
Lines closer than 0.1° are merged.

The 10 most intense peaks (5 to 70 degrees two-theta), low angle first:
2θ/deg	I_rel
18.29	39
23.63	24
26.24	24
27.44	100
27.69	22
29.55	23
31.73	24
35.90	35
37.07	30
48.82	33

Structural model:
```
10
Lattice="6.4425 0.0000 0.0000 0.0000 8.7584 0.0000 0.0000 0.0000 7.3703" Properties=species:S:1:pos:R:3 pbc="T T T"
Ca 1.6106 0.0000 0.7473
Ca 4.8319 0.0000 6.6230
Ac 1.6106 2.5920 5.8330
Ac 1.6106 6.1665 5.8330
Ac 4.8319 2.5920 1.5373
Ac 4.8319 6.1665 1.5373
Pm 0.0000 0.0000 3.6851
Pm 3.2212 0.0000 3.6851
Nd 1.6106 4.3792 2.5267
Nd 4.8319 4.3792 4.8435
```

Record 2
This entry pairs a crystal structure of AcGe3Ru3 with its simulated powder diffractogram. Radiation: Cu Kα. Structure: a crystal structure in Alexandria, relaxed with PBE.
Lines closer than 0.1° are merged.

The 10 most intense peaks (5 to 70 degrees two-theta), low angle first:
2θ/deg	I_rel
11.90	18
23.31	35
23.92	25
31.36	26
31.82	38
37.86	100
40.59	33
46.99	17
52.48	18
57.87	22

Structural model:
```
14
Lattice="8.5905 0.0000 0.0000 -4.2952 7.4396 0.0000 0.0000 0.0000 4.4455" Properties=species:S:1:pos:R:3 pbc="T T T"
Ac 0.0000 4.9597 1.1114
Ac 4.2953 2.4799 3.3341
Ge -2.3660 5.2691 3.3341
Ge 0.9151 2.7560 3.3341
Ge 2.8443 0.5855 1.1114
Ge 1.4509 6.8541 3.3341
Ge 3.3801 4.6836 1.1114
Ge 6.6613 2.1705 1.1114
Ru -3.1932 6.2413 1.1114
Ru 0.4867 1.5535 1.1114
Ru 1.5887 0.3553 3.3341
Ru 2.7065 7.0843 1.1114
Ru 3.8086 5.8861 3.3341
Ru 7.4884 1.1982 3.3341
```

Record 3
This entry pairs a crystal structure of LiTiP4O12 with its simulated powder diffractogram. Radiation: Cu Kα. Structure: a crystal structure in Alexandria, relaxed with PBE.
Lines closer than 0.1° are merged.

The 10 most intense peaks (5 to 70 degrees two-theta), low angle first:
2θ/deg	I_rel
10.37	49
14.21	100
17.14	37
17.95	36
21.76	15
22.22	45
23.98	23
26.51	19
27.09	11
33.50	33

Structural model:
```
36
Lattice="8.7300 -6.2320 0.0000 8.7300 6.2320 0.0000 -1.1332 0.0000 5.2167" Properties=species:S:1:pos:R:3 pbc="T T T"
Li 1.6543 0.0000 0.0094
Li 14.6727 0.0000 5.2073
Ti 3.7984 3.1160 2.6083
Ti 3.7984 -3.1160 2.6083
P 6.9776 3.5390 1.7414
P 5.4748 1.4880 0.2279
P 9.3493 3.5390 3.4753
P 5.4748 -1.4880 0.2279
P 10.8521 1.4880 4.9888
P 6.9776 -3.5390 1.7414
P 10.8521 -1.4880 4.9888
P 9.3493 -3.5390 3.4753
O 7.4473 4.7206 0.9803
O 5.7583 3.6765 2.6281
O 4.2515 1.7992 1.0557
O 4.1992 1.6436 3.9536
O 8.8796 4.7206 4.2364
O 6.7580 2.2905 0.7231
O 8.1635 2.8831 2.6083
O 10.5686 3.6765 2.5886
O 5.9830 0.0000 0.5412
O 4.2515 -1.7992 1.0557
O 9.5689 2.2905 4.4935
O 4.1992 -1.6436 3.9536
O 12.1278 1.6436 1.2630
O 6.7580 -2.2905 0.7231
O 12.0754 1.7992 4.1610
O 10.3439 0.0000 4.6755
O 5.7583 -3.6765 2.6281
O 8.1635 -2.8831 2.6083
O 9.5689 -2.2905 4.4935
O 7.4473 -4.7206 0.9803
O 12.1278 -1.6436 1.2630
O 12.0754 -1.7992 4.1610
O 10.5686 -3.6765 2.5886
O 8.8796 -4.7206 4.2364
```

Record 4
This entry pairs a crystal structure of Pr4CO2 with its simulated powder diffractogram. Radiation: Cu Kα. Structure: a crystal structure in Alexandria, relaxed with PBE.
Lines closer than 0.1° are merged.

The 10 most intense peaks (5 to 70 degrees two-theta), low angle first:
2θ/deg	I_rel
14.43	1
29.10	100
33.69	39
33.80	20
44.24	1
48.44	45
55.29	1
57.46	28
57.61	15
60.33	14

Structural model:
```
28
Lattice="7.5242 0.0000 0.0000 0.0000 7.5242 0.0000 0.0000 0.0000 10.6066" Properties=species:S:1:pos:R:3 pbc="T T T"
Pr 0.0186 1.8272 2.6174
Pr 0.0186 5.6970 2.6859
Pr 1.8237 3.6089 10.5675
Pr 1.8237 3.9153 5.3424
Pr 1.8272 0.0186 5.3375
Pr 1.8272 7.5056 10.5724
Pr 3.6089 1.8237 7.9941
Pr 3.6089 5.7005 7.9158
Pr 3.9153 1.8237 2.6125
Pr 3.9153 5.7005 2.6908
Pr 5.6970 0.0186 5.2691
Pr 5.6970 7.5056 0.0342
Pr 5.7005 3.6089 0.0391
Pr 5.7005 3.9153 5.2642
Pr 7.5056 1.8272 7.9892
Pr 7.5056 5.6970 7.9207
C 1.8319 3.7621 7.9550
C 3.7621 1.8319 0.0000
C 3.7621 5.6923 5.3033
C 5.6923 3.7621 2.6517
O 0.0000 1.8432 0.0000
O 0.0000 5.6810 5.3033
O 1.8432 0.0000 7.9550
O 1.9852 1.9852 3.9775
O 1.9852 5.5390 1.3258
O 5.5390 1.9852 6.6291
O 5.5390 5.5390 9.2808
O 5.6810 0.0000 2.6517
```

Record 5
This entry pairs a crystal structure of Pr8SbN4 with its simulated powder diffractogram. Radiation: Cu Kα. Structure: a crystal structure in Alexandria, relaxed with PBE.
Lines closer than 0.1° are merged.

The 10 most intense peaks (5 to 70 degrees two-theta), low angle first:
2θ/deg	I_rel
13.76	16
27.73	100
32.12	46
35.10	22
42.13	36
46.07	43
54.62	28
59.20	16
64.19	13
68.97	12

Structural model:
```
13
Lattice="0.0000 5.5726 5.5726 5.5726 0.0000 5.5726 5.5726 5.5726 0.0000" Properties=species:S:1:pos:R:3 pbc="T T T"
Pr 7.1389 4.0063 4.0063
Pr 1.1425 1.1425 1.1425
Pr 4.4302 4.4302 1.1425
Pr 4.4302 1.1425 4.4302
Pr 4.0063 7.1389 4.0063
Pr 4.0063 4.0063 7.1389
Pr 7.1389 7.1389 7.1389
Pr 1.1425 4.4302 4.4302
Sb 2.7863 2.7863 2.7863
N 9.7107 7.0071 7.0071
N 7.0071 9.7107 7.0071
N 7.0071 7.0071 9.7107
N 9.7107 9.7107 9.7107
```

Record 6
This entry pairs a crystal structure of La4GaAgHg2 with its simulated powder diffractogram. Radiation: Cu Kα. Structure: a crystal structure in Alexandria, relaxed with PBE.
Lines closer than 0.1° are merged.

The 10 most intense peaks (5 to 70 degrees two-theta), low angle first:
2θ/deg	I_rel
19.92	8
32.81	100
38.66	4
38.72	1
47.08	18
51.52	1
58.42	9
58.61	28
68.67	6
68.87	6

Structural model:
```
8
Lattice="2.7265 1.5741 8.9395 -2.7265 1.5741 8.9395 0.0000 -3.1483 8.9395" Properties=species:S:1:pos:R:3 pbc="T T T"
La 0.0000 0.0000 3.3039
La 0.0000 0.0000 10.0167
La 0.0000 0.0000 16.8018
La 0.0000 0.0000 23.5146
Ga 0.0000 0.0000 0.0000
Ag 0.0000 0.0000 13.4093
Hg 0.0000 0.0000 6.6817
Hg 0.0000 0.0000 20.1368
```